Entry 1:
CsPr2Ag3Te5: simulated powder XRD pattern (Cu Kα), based on a GGA-PBE-relaxed structure.

The 6 most intense peaks (2θ from 10° to 90°), in order of falling intensity:
| d_spacing | Position (°2θ) | I (rel.) |
| --- | --- | --- |
| 3.502 | 25.44 | 100.0 |
| 2.342 | 38.45 | 98.9 |
| 2.853 | 31.35 | 98.8 |
| 3.337 | 26.72 | 86.2 |
| 2.163 | 41.76 | 84.9 |
| 3.176 | 28.09 | 72.3 |

Structural model:
```
22
Lattice="2.3411 -8.2339 0.0000 2.3411 8.2339 0.0000 0.0000 0.0000 19.0572" Properties=species:S:1:pos:R:3 pbc="T T T"
Cs 2.3411 7.2551 14.2929
Cs 2.3411 -7.2551 4.7643
Pr 2.3411 5.1085 1.7691
Pr 2.3411 5.1085 7.7595
Pr 2.3411 -5.1085 11.2978
Pr 2.3411 -5.1085 17.2881
Ag 2.3411 2.6323 14.2929
Ag 2.3411 1.4476 0.5461
Ag 2.3411 1.4476 8.9825
Ag 2.3411 -1.4476 10.0748
Ag 2.3411 -1.4476 18.5111
Ag 2.3411 -2.6323 4.7643
Te 2.3411 5.3899 10.9352
Te 2.3411 5.3899 17.6507
Te 2.3411 4.0634 4.7643
Te 2.3411 0.9702 11.8037
Te 2.3411 0.9702 16.7821
Te 2.3411 -0.9702 2.2751
Te 2.3411 -0.9702 7.2535
Te 2.3411 -4.0634 14.2929
Te 2.3411 -5.3899 1.4066
Te 2.3411 -5.3899 8.1220
```


Entry 2:
Pr5TlAu4: simulated powder XRD pattern (Cu Kα), based on a GGA-PBE-relaxed structure.

The 6 most intense peaks (2θ from 10° to 90°), in order of falling intensity:
| d_spacing | Position (°2θ) | I (rel.) |
| --- | --- | --- |
| 2.686 | 33.36 | 100.0 |
| 2.651 | 33.81 | 50.6 |
| 1.537 | 60.19 | 37.2 |
| 1.875 | 48.56 | 18.5 |
| 1.558 | 59.34 | 16.8 |
| 1.343 | 70.07 | 10.3 |

Structural model:
```
10
Lattice="3.7496 0.0000 0.0000 0.0000 3.7496 0.0000 0.0000 0.0000 19.2457" Properties=species:S:1:pos:R:3 pbc="T T T"
Pr 0.0000 0.0000 0.0000
Pr 0.0000 0.0000 3.7437
Pr 0.0000 0.0000 7.4615
Pr 0.0000 0.0000 11.7842
Pr 0.0000 0.0000 15.5020
Tl 1.8748 1.8748 9.6229
Au 1.8748 1.8748 1.8656
Au 1.8748 1.8748 5.6193
Au 1.8748 1.8748 13.6264
Au 1.8748 1.8748 17.3801
```


Entry 3:
Ti5NbIn2Pd2: simulated powder XRD pattern (Cu Kα), based on a GGA-PBE-relaxed structure.

The 6 most intense peaks (2θ from 10° to 90°), in order of falling intensity:
| d_spacing | Position (°2θ) | I (rel.) |
| --- | --- | --- |
| 2.344 | 38.40 | 100.0 |
| 2.590 | 34.64 | 34.3 |
| 3.377 | 26.40 | 31.4 |
| 2.191 | 41.20 | 29.8 |
| 2.517 | 35.67 | 26.0 |
| 2.466 | 36.43 | 19.1 |

Structural model:
```
20
Lattice="10.6778 0.0000 0.0000 0.0000 10.6778 0.0000 0.0000 0.0000 3.2577" Properties=species:S:1:pos:R:3 pbc="T T T"
Ti 0.0000 5.3389 0.0000
Ti 0.6009 2.0652 0.0000
Ti 2.0652 10.0769 0.0000
Ti 3.2737 4.7380 0.0000
Ti 4.7380 7.4041 0.0000
Ti 5.3389 0.0000 0.0000
Ti 5.9398 3.2737 0.0000
Ti 7.4041 5.9398 0.0000
Ti 8.6126 0.6009 0.0000
Ti 10.0769 8.6126 0.0000
Nb 0.0000 0.0000 1.6289
Nb 5.3389 5.3389 1.6289
In 1.8800 7.2189 1.6289
In 3.4589 1.8800 1.6289
In 7.2189 8.7978 1.6289
In 8.7978 3.4589 1.6289
Pd 1.3855 3.9534 1.6289
Pd 3.9534 9.2923 1.6289
Pd 6.7244 1.3855 1.6289
Pd 9.2923 6.7244 1.6289
```


Entry 4:
Li5CdGe: simulated powder XRD pattern (Cu Kα), based on a GGA-PBE-relaxed structure.

The 6 most intense peaks (2θ from 10° to 90°), in order of falling intensity:
| d_spacing | Position (°2θ) | I (rel.) |
| --- | --- | --- |
| 3.557 | 25.04 | 100.0 |
| 4.329 | 20.52 | 50.5 |
| 3.661 | 24.31 | 40.7 |
| 2.174 | 41.54 | 26.7 |
| 2.093 | 43.22 | 24.1 |
| 2.308 | 39.03 | 23.5 |

Structural model:
```
14
Lattice="3.6614 -3.0920 0.0000 3.6614 3.0920 0.0000 -0.0118 0.0000 10.8051" Properties=species:S:1:pos:R:3 pbc="T T T"
Li 3.6526 2.6352 8.1038
Li 2.1867 0.9752 6.5051
Li 2.1864 0.9714 9.7068
Li 2.1926 -0.9752 1.1026
Li 2.1922 -0.9714 4.3043
Li 5.1188 0.9714 6.5008
Li 5.1185 0.9752 9.7025
Li 5.1247 -0.9714 1.0983
Li 5.1244 -0.9752 4.3000
Li 3.6585 -2.6352 2.7013
Cd 3.6585 0.8422 2.7013
Cd 3.6526 -0.8422 8.1038
Ge 0.0000 0.0000 0.0000
Ge -0.0059 0.0000 5.4026
```


Entry 5:
InAg4Au: simulated powder XRD pattern (Cu Kα), based on a GGA-PBE-relaxed structure.

The 6 most intense peaks (2θ from 10° to 90°), in order of falling intensity:
| d_spacing | Position (°2θ) | I (rel.) |
| --- | --- | --- |
| 2.440 | 36.84 | 100.0 |
| 2.415 | 37.22 | 97.0 |
| 2.143 | 42.16 | 34.0 |
| 2.096 | 43.17 | 31.7 |
| 2.070 | 43.73 | 30.5 |
| 1.259 | 75.50 | 23.3 |

Structural model:
```
12
Lattice="9.4060 0.0000 0.0000 0.0000 4.2870 0.0000 -1.8865 0.0000 5.5354" Properties=species:S:1:pos:R:3 pbc="T T T"
In 0.0000 0.0000 0.0000
In 4.7030 2.1435 0.0000
Ag 0.9363 2.1435 1.8589
Ag 0.0078 2.1435 4.5946
Ag 2.8087 0.0000 0.9408
Ag 1.8802 0.0000 3.6765
Ag 5.6393 0.0000 1.8589
Ag 4.7108 0.0000 4.5946
Ag 7.5117 2.1435 0.9408
Ag 6.5832 2.1435 3.6765
Au -0.9432 0.0000 2.7677
Au 3.7598 2.1435 2.7677
```


Entry 6:
PmGa2Cu4: simulated powder XRD pattern (Cu Kα), based on a GGA-PBE-relaxed structure.

The 6 most intense peaks (2θ from 10° to 90°), in order of falling intensity:
| d_spacing | Position (°2θ) | I (rel.) |
| --- | --- | --- |
| 2.566 | 34.97 | 100.0 |
| 2.028 | 44.69 | 88.0 |
| 2.345 | 38.39 | 41.1 |
| 2.201 | 41.01 | 40.6 |
| 2.622 | 34.20 | 25.7 |
| 1.533 | 60.40 | 21.1 |

Structural model:
```
14
Lattice="7.4151 0.0000 0.0000 0.0000 7.4151 0.0000 0.0000 0.0000 4.0500" Properties=species:S:1:pos:R:3 pbc="T T T"
Pm 0.0000 0.0000 0.0000
Pm 3.7076 3.7076 2.0250
Ga 1.5915 1.5915 2.0250
Ga 2.1160 5.2991 0.0000
Ga 5.2991 2.1160 0.0000
Ga 5.8236 5.8236 2.0250
Cu 0.6833 4.7943 2.0250
Cu 1.0867 3.0243 0.0000
Cu 2.6209 6.7318 2.0250
Cu 3.0243 1.0867 0.0000
Cu 4.3909 6.3285 0.0000
Cu 4.7943 0.6833 2.0250
Cu 6.3285 4.3909 0.0000
Cu 6.7318 2.6209 2.0250
```


Entry 7:
PmZn5Ru2: simulated powder XRD pattern (Cu Kα), based on a GGA-PBE-relaxed structure.

The 6 most intense peaks (2θ from 10° to 90°), in order of falling intensity:
| d_spacing | Position (°2θ) | I (rel.) |
| --- | --- | --- |
| 2.450 | 36.69 | 100.0 |
| 2.652 | 33.80 | 54.5 |
| 1.948 | 46.64 | 41.7 |
| 2.824 | 31.69 | 37.7 |
| 2.018 | 44.92 | 36.5 |
| 1.976 | 45.92 | 35.6 |

Structural model:
```
16
Lattice="4.0360 0.0000 0.0000 0.0000 7.6078 0.0000 0.0000 0.0000 9.2508" Properties=species:S:1:pos:R:3 pbc="T T T"
Pm 0.0000 0.0000 0.0000
Pm 2.0180 3.8039 4.6254
Zn 0.0000 1.3626 3.1287
Zn 0.0000 1.3626 6.1221
Zn 0.0000 3.8039 0.0000
Zn 0.0000 6.2452 3.1287
Zn 0.0000 6.2452 6.1221
Zn 2.0180 0.0000 4.6254
Zn 2.0180 2.4413 1.4967
Zn 2.0180 2.4413 7.7540
Zn 2.0180 5.1665 1.4967
Zn 2.0180 5.1665 7.7540
Ru 0.0000 3.8039 2.4776
Ru 0.0000 3.8039 6.7732
Ru 2.0180 0.0000 2.1478
Ru 2.0180 0.0000 7.1029
```


- What is the formula in the second record?
  Pr5TlAu4